1.
Calculated PXRD pattern of MgAl4H12O12 for Cu Kα X-rays, from the PBE geometry in the Materials Project.
No peak broadening, texture or thermal motion is included.

Top 12 peaks for 2θ from 15° to 90°, in order of falling intensity:
| h k l | Position (°2θ) | I/Imax |
| --- | --- | --- |
| 0 1 1 | 16.92 | 100.0 |
| 1 0 1 | 20.57 | 25.6 |
| 1 -2 1 | 37.24 | 22.2 |
| 1 0 -3 | 47.32 | 22.0 |
| 1 -3 0 | 46.66 | 21.4 |
| 0 1 -1 | 19.97 | 19.1 |
| 1 1 0 | 21.06 | 18.7 |
| 2 2 2 | 44.38 | 16.1 |
| 0 0 2 | 26.29 | 14.2 |
| 1 1 -2 | 38.07 | 13.0 |
| 2 1 1 | 36.97 | 8.4 |
| 2 1 2 | 40.92 | 6.7 |

a = 4.9863 Å, b = 6.9710 Å, c = 7.0236 Å
α = 78.94°, β = 78.17°, γ = 80.15°
Space group P1 (No. 1)
Asymmetric unit:
Mg  0.0000  0.0000  0.0000
Al  0.1452  0.7668  0.6960
Al  0.2544  0.4661  0.0355
Al  0.6277  0.9759  0.5515
Al  0.7017  0.3250  0.2256
H  0.0520  0.0118  0.3178
H  0.1229  0.3458  0.3801
H  0.3212  0.9221  0.1288
H  0.3799  0.8474  0.3230
H  0.4121  0.0919  0.1103
H  0.4419  0.3392  0.5846
H  0.4485  0.8588  0.9134
H  0.5638  0.5647  0.7078
H  0.7830  0.6581  0.0231
H  0.8972  0.3755  0.8711
H  0.9112  0.6391  0.4726
H  0.9956  0.1312  0.6267
O  0.3684  0.8674  0.4627
O  0.3762  0.5254  0.7476
O  0.3816  0.9124  0.7875
O  0.4779  0.2502  0.4849
O  0.4836  0.2243  0.0888
O  0.5303  0.5590  0.1153
O  0.8563  0.0420  0.3017
O  0.8635  0.7064  0.5891
O  0.8905  0.0264  0.7004
O  0.9816  0.7063  0.9696
O  0.9965  0.4264  0.2958
O  0.9975  0.3043  0.9743

2.
Calculated PXRD pattern of Mg4Al3H17O17 for Cu Kα X-rays, from the PBE geometry in the Materials Project.
No peak broadening, texture or thermal motion is included.

Top 12 peaks for 2θ from 15° to 90°, in order of falling intensity:
| h k l | Position (°2θ) | I/Imax |
| --- | --- | --- |
| -1 2 4 | 40.53 | 100.0 |
| 0 1 -7 | 35.06 | 71.7 |
| 1 1 3 | 40.27 | 54.1 |
| 0 2 0 | 25.56 | 38.6 |
| -1 1 4 | 35.19 | 36.9 |
| -1 3 4 | 49.12 | 34.2 |
| 1 2 3 | 48.83 | 34.1 |
| 0 3 -7 | 49.27 | 32.1 |
| 2 0 -1 | 62.55 | 20.2 |
| -2 1 1 | 61.04 | 16.1 |
| 1 -1 10 | 60.68 | 14.9 |
| -1 1 11 | 62.40 | 14.3 |

a = 3.0360 Å, b = 7.1734 Å, c = 18.5636 Å
α = 95.52°, β = 94.52°, γ = 101.95°
Space group P1 (No. 1)
Asymmetric unit:
Mg  0.0000  0.0000  0.0000
Mg  0.1476  0.9978  0.2955
Mg  0.5731  0.9966  0.1474
Mg  0.7210  0.9952  0.4413
Al  0.2857  0.9844  0.5791
Al  0.4160  0.9938  0.8501
Al  0.8473  0.9892  0.7153
H  0.0258  0.7077  0.3884
H  0.0659  0.5058  0.7547
H  0.0844  0.2835  0.9001
H  0.2248  0.6573  0.6512
H  0.2488  0.2867  0.2141
H  0.3133  0.7225  0.9195
H  0.4142  0.2838  0.5033
H  0.4745  0.7097  0.2378
H  0.4770  0.5118  0.6102
H  0.5587  0.2927  0.7813
H  0.6568  0.6604  0.5051
H  0.6733  0.2846  0.0655
H  0.8075  0.2875  0.3631
H  0.8182  0.6446  0.7971
H  0.8985  0.7078  0.0873
H  0.9337  0.5027  0.4792
H  0.9785  0.2864  0.6392
O  0.0202  0.1472  0.9043
O  0.1212  0.8437  0.3843
O  0.1749  0.1490  0.2013
O  0.2219  0.5134  0.6394
O  0.2673  0.8720  0.6700
O  0.3199  0.1436  0.5024
O  0.3964  0.8603  0.9342
O  0.4430  0.1494  0.7726
O  0.5444  0.8468  0.2361
O  0.5997  0.1472  0.0535
O  0.6218  0.5208  0.4771
O  0.7056  0.8590  0.5383
O  0.7488  0.1500  0.3504
O  0.8311  0.8722  0.8030
O  0.8755  0.1438  0.6374
O  0.8932  0.5125  0.7969
O  0.9681  0.8453  0.0867

3.
Calculated PXRD pattern of MgAl4H12O12 for Cu Kα X-rays, from the PBE geometry in the Materials Project.
No peak broadening, texture or thermal motion is included.

Top 12 peaks for 2θ from 15° to 90°, in order of falling intensity:
| h k l | Position (°2θ) | I/Imax |
| --- | --- | --- |
| 0 1 -1 | 15.73 | 100.0 |
| 1 0 0 | 18.58 | 33.5 |
| -1 1 1 | 20.84 | 26.4 |
| 0 2 0 | 26.45 | 21.2 |
| 2 0 -2 | 39.37 | 19.1 |
| 1 0 2 | 33.12 | 15.8 |
| 1 -4 1 | 50.71 | 15.0 |
| 0 1 1 | 19.06 | 13.4 |
| 2 1 -3 | 49.36 | 13.1 |
| -1 3 1 | 40.53 | 12.8 |
| 0 0 2 | 23.04 | 12.7 |
| 1 -3 0 | 37.73 | 10.8 |

a = 5.1981 Å, b = 7.2535 Å, c = 8.0015 Å
α = 96.69°, β = 100.67°, γ = 108.93°
Space group P1 (No. 1)
Asymmetric unit:
Mg  0.0000  0.0000  0.0000
Al  0.0646  0.5435  0.1427
Al  0.3223  0.9208  0.4036
Al  0.4484  0.3721  0.0034
Al  0.9733  0.0839  0.5954
H  0.0587  0.7640  0.6202
H  0.1645  0.2627  0.2439
H  0.2532  0.4331  0.7151
H  0.4045  0.2540  0.4866
H  0.4938  0.7406  0.0443
H  0.4952  0.6343  0.3762
H  0.5225  0.0493  0.0236
H  0.6146  0.9742  0.7575
H  0.6805  0.9292  0.0916
H  0.7248  0.3389  0.2889
H  0.8273  0.4088  0.8370
H  0.8810  0.8295  0.1910
O  0.0682  0.8211  0.1852
O  0.1179  0.8806  0.5689
O  0.1251  0.2955  0.1254
O  0.1915  0.3107  0.7592
O  0.2155  0.1626  0.4298
O  0.3187  0.6564  0.3693
O  0.3564  0.6005  0.0277
O  0.3867  0.1045  0.9626
O  0.6712  0.0751  0.4510
O  0.7299  0.4477  0.2259
O  0.7829  0.4818  0.9309
O  0.7968  0.9629  0.7592